The following is a simulated X-ray powder pattern of Ba2TlMo2O7. It was derived from a cell relaxed with GGA+U, using Cu Kα, 1.54184 Å.

Peak list (10 most intense, 10 to 80 degrees two-theta, in order of rising 2θ)
d (Å), I_rel
3.487, 19
3.071, 100
2.814, 45
2.762, 16
2.414, 18
2.018, 13
1.990, 23
1.832, 21
1.670, 34
1.535, 17

Cell and atoms:
```
Ba2TlMo2O7
1.0
3.9792 0.0000 0.0000
0.0000 3.9792 0.0000
0.0000 0.0000 14.4834
Ba Tl Mo O
2 1 2 7
direct
0.0000 0.0000 0.1823
0.0000 0.0000 0.8177
0.5000 0.5000 0.0000
0.5000 0.5000 0.3320
0.5000 0.5000 0.6680
0.0000 0.0000 0.0000
0.0000 0.5000 0.3389
0.0000 0.5000 0.6611
0.5000 0.0000 0.3389
0.5000 0.0000 0.6611
0.5000 0.5000 0.1948
0.5000 0.5000 0.8052
```

The following is a simulated X-ray powder pattern of Mo2Ir4F. It was derived from a cell relaxed with GGA+U, using Cu Kα, 1.54184 Å.

Peak list (10 most intense, 10 to 80 degrees two-theta, in order of rising 2θ)
d (Å), I_rel
2.718, 100
2.231, 20
2.209, 49
2.190, 23
2.111, 56
1.520, 30
1.493, 18
1.308, 22
1.237, 16
1.233, 15

Cell and atoms:
```
Mo2Ir4F
1.0
-2.1111 2.1111 6.5687
2.1111 -2.1111 6.5687
2.1111 2.1111 -6.5687
Mo Ir F
2 4 1
direct
0.1420 0.1420 0.0000
0.8580 0.8580 0.0000
0.0000 0.5000 0.5000
0.3196 0.3196 0.0000
0.5000 0.0000 0.5000
0.6804 0.6804 0.0000
0.5000 0.5000 0.0000
```